Record 1
Computed PXRD pattern
Compound: CaAcZn2Pd2
Radiation: copper Kα
Structure: a structure optimized by DFT (GGA-PBE)
Neutral-atom scattering factors, no anomalous dispersion.

Peak list (10 most intense, 10° ≤ 2θ ≤ 80°, sorted by position)
| 2θ/deg | intensity |
| --- | --- |
| 11.11 | 17 |
| 25.54 | 40 |
| 32.21 | 100 |
| 40.26 | 55 |
| 45.56 | 11 |
| 52.47 | 25 |
| 53.53 | 11 |
| 62.40 | 26 |
| 68.14 | 23 |
| 73.18 | 9 |

Structure:
abc: 4.4799 4.4799 7.9644
angles: 90.00 90.00 120.00
Space group P-3m1 (No. 164)
Inequivalent atoms, fractional coordinates:
Ca 0.0000 0.0000 0.0000 [1 per cell]
Ac 0.0000 0.0000 0.5000 [1 per cell]
Zn 0.3333 0.6667 0.7792 [2 per cell]
Pd 0.3333 0.6667 0.2397 [2 per cell]

Record 2
Computed PXRD pattern
Compound: CaAc15Pm4
Radiation: copper Kα
Structure: a structure optimized by DFT (GGA-PBE)
Neutral-atom scattering factors, no anomalous dispersion.

Peak list (10 most intense, 10° ≤ 2θ ≤ 80°, sorted by position)
| 2θ/deg | intensity |
| --- | --- |
| 27.87 | 100 |
| 32.22 | 35 |
| 32.44 | 17 |
| 46.21 | 13 |
| 46.37 | 26 |
| 54.83 | 32 |
| 55.12 | 15 |
| 57.59 | 14 |
| 74.46 | 6 |
| 74.70 | 13 |

Structure:
abc: 5.556 5.556 27.599
angles: 90.00 90.00 90.00
Space group P4/mmm (No. 123)
Inequivalent atoms, fractional coordinates:
Ca 0.000 0.000 0.000 [1 per cell]
Ac 0.000 0.500 0.103 [4 per cell]
Ac 0.000 0.500 0.301 [4 per cell]
Ac 0.000 0.500 0.500 [2 per cell]
Ac 0.500 0.500 0.000 [1 per cell]
Ac 0.500 0.500 0.201 [2 per cell]
Ac 0.500 0.500 0.400 [2 per cell]
Pm 0.000 0.000 0.200 [2 per cell]
Pm 0.000 0.000 0.400 [2 per cell]

Record 3
Computed PXRD pattern
Compound: Ca2Ac4Pm3
Radiation: copper Kα
Structure: a structure optimized by DFT (GGA-PBE)
Neutral-atom scattering factors, no anomalous dispersion.

Peak list (10 most intense, 10° ≤ 2θ ≤ 80°, sorted by position)
| 2θ/deg | intensity |
| --- | --- |
| 11.44 | 32 |
| 14.47 | 29 |
| 27.56 | 58 |
| 28.59 | 63 |
| 29.67 | 100 |
| 29.89 | 87 |
| 32.63 | 46 |
| 40.15 | 21 |
| 51.31 | 22 |
| 57.44 | 32 |

Structure:
abc: 31.553 3.792 6.245
angles: 90.00 101.34 90.00
Space group C2/m (No. 12)
Inequivalent atoms, fractional coordinates:
Ca 0.119 0.000 0.120 [4 per cell]
Ac 0.056 0.000 0.557 [4 per cell]
Ac 0.233 0.500 0.233 [4 per cell]
Pm 0.000 0.500 0.000 [2 per cell]
Pm 0.163 0.500 0.663 [4 per cell]

Record 4
Computed PXRD pattern
Compound: CaAc6Pm2
Radiation: copper Kα
Structure: a structure optimized by DFT (GGA-PBE)
Neutral-atom scattering factors, no anomalous dispersion.

Peak list (10 most intense, 10° ≤ 2θ ≤ 80°, sorted by position)
| 2θ/deg | intensity |
| --- | --- |
| 10.33 | 46 |
| 22.85 | 62 |
| 25.98 | 85 |
| 27.83 | 94 |
| 28.84 | 91 |
| 29.15 | 54 |
| 29.43 | 51 |
| 30.98 | 100 |
| 31.79 | 46 |
| 40.66 | 36 |

Structure:
abc: 12.397 7.486 8.750
angles: 90.00 101.74 90.00
Space group C2/m (No. 12)
Inequivalent atoms, fractional coordinates:
Ca 0.000 0.000 0.000 [2 per cell]
Ac 0.108 0.251 0.379 [8 per cell]
Ac 0.155 0.500 0.849 [4 per cell]
Pm 0.173 0.000 0.746 [4 per cell]

Record 5
Computed PXRD pattern
Compound: CaAc6Pm5
Radiation: copper Kα
Structure: a structure optimized by DFT (GGA-PBE)
Neutral-atom scattering factors, no anomalous dispersion.

Peak list (10 most intense, 10° ≤ 2θ ≤ 80°, sorted by position)
| 2θ/deg | intensity |
| --- | --- |
| 28.49 | 100 |
| 32.56 | 35 |
| 33.90 | 16 |
| 46.71 | 13 |
| 47.71 | 25 |
| 55.60 | 16 |
| 55.65 | 16 |
| 57.38 | 14 |
| 58.95 | 13 |
| 77.01 | 12 |

Structure:
abc: 5.503 10.579 16.493
angles: 90.00 90.00 90.00
Space group Immm (No. 71)
Inequivalent atoms, fractional coordinates:
Ca 0.000 0.000 0.000 [2 per cell]
Ac 0.000 0.244 0.500 [4 per cell]
Ac 0.000 0.252 0.169 [8 per cell]
Pm 0.000 0.000 0.332 [4 per cell]
Pm 0.000 0.500 0.000 [2 per cell]
Pm 0.000 0.500 0.330 [4 per cell]

Record 6
Computed PXRD pattern
Compound: CaAcPm2
Radiation: copper Kα
Structure: a structure optimized by DFT (GGA-PBE)
Neutral-atom scattering factors, no anomalous dispersion.

Peak list (10 most intense, 10° ≤ 2θ ≤ 80°, sorted by position)
| 2θ/deg | intensity |
| --- | --- |
| 27.23 | 17 |
| 28.18 | 36 |
| 28.69 | 30 |
| 30.85 | 100 |
| 34.90 | 21 |
| 48.13 | 22 |
| 52.20 | 23 |
| 56.99 | 27 |
| 58.27 | 17 |
| 78.85 | 14 |

Structure:
abc: 3.7814 3.7814 12.4470
angles: 90.00 90.00 120.00
Space group P-6m2 (No. 187)
Inequivalent atoms, fractional coordinates:
Ca 0.0000 0.0000 0.0000 [1 per cell]
Ac 0.3333 0.6667 0.5000 [1 per cell]
Pm 0.6667 0.3333 0.2512 [2 per cell]

Record 7
Computed PXRD pattern
Compound: CaAcPmPt2
Radiation: copper Kα
Structure: a structure optimized by DFT (GGA-PBE)
Neutral-atom scattering factors, no anomalous dispersion.

Peak list (10 most intense, 10° ≤ 2θ ≤ 80°, sorted by position)
| 2θ/deg | intensity |
| --- | --- |
| 15.71 | 54 |
| 20.20 | 35 |
| 26.99 | 100 |
| 30.39 | 34 |
| 33.22 | 60 |
| 36.27 | 62 |
| 36.55 | 55 |
| 40.62 | 37 |
| 41.51 | 17 |
| 53.45 | 19 |

Structure:
abc: 15.269 4.442 11.399
angles: 90.00 129.54 90.00
Space group C2/m (No. 12)
Inequivalent atoms, fractional coordinates:
Ca 0.126 0.000 0.044 [4 per cell]
Ac 0.048 0.500 0.726 [4 per cell]
Pm 0.241 0.000 0.630 [4 per cell]
Pt 0.106 0.000 0.294 [4 per cell]
Pt 0.229 0.000 0.886 [4 per cell]

Record 8
Computed PXRD pattern
Compound: Ca2Ac7Pr2
Radiation: copper Kα
Structure: a structure optimized by DFT (GGA-PBE)
Neutral-atom scattering factors, no anomalous dispersion.

Peak list (10 most intense, 10° ≤ 2θ ≤ 80°, sorted by position)
| 2θ/deg | intensity |
| --- | --- |
| 23.72 | 18 |
| 24.19 | 22 |
| 25.50 | 26 |
| 25.75 | 27 |
| 27.44 | 21 |
| 28.43 | 19 |
| 29.11 | 100 |
| 29.35 | 77 |
| 29.67 | 61 |
| 52.51 | 19 |

Structure:
abc: 9.735 10.370 9.645
angles: 90.00 101.46 90.00
Space group C2/m (No. 12)
Inequivalent atoms, fractional coordinates:
Ca 0.095 0.000 0.352 [4 per cell]
Ac 0.000 0.500 0.500 [2 per cell]
Ac 0.145 0.500 0.906 [4 per cell]
Ac 0.246 0.184 0.714 [8 per cell]
Pr 0.000 0.170 0.000 [4 per cell]

Record 9
Computed PXRD pattern
Compound: CaAc3Pr8
Radiation: copper Kα
Structure: a structure optimized by DFT (GGA-PBE)
Neutral-atom scattering factors, no anomalous dispersion.

Peak list (10 most intense, 10° ≤ 2θ ≤ 80°, sorted by position)
| 2θ/deg | intensity |
| --- | --- |
| 22.25 | 17 |
| 28.71 | 28 |
| 28.95 | 100 |
| 29.16 | 32 |
| 33.44 | 26 |
| 34.97 | 18 |
| 37.96 | 14 |
| 55.86 | 15 |
| 56.17 | 13 |
| 59.89 | 14 |

Structure:
abc: 6.665 9.535 14.974
angles: 90.00 90.00 90.00
Space group I222 (No. 23)
Inequivalent atoms, fractional coordinates:
Ca 0.000 0.000 0.000 [2 per cell]
Ac 0.000 0.000 0.500 [2 per cell]
Ac 0.000 0.500 0.129 [4 per cell]
Pr 0.118 0.341 0.397 [8 per cell]
Pr 0.135 0.148 0.212 [8 per cell]

Record 10
Computed PXRD pattern
Compound: CaAc4Pr2
Radiation: copper Kα
Structure: a structure optimized by DFT (GGA-PBE)
Neutral-atom scattering factors, no anomalous dispersion.

Peak list (10 most intense, 10° ≤ 2θ ≤ 80°, sorted by position)
| 2θ/deg | intensity |
| --- | --- |
| 14.20 | 30 |
| 26.58 | 51 |
| 27.74 | 100 |
| 28.18 | 35 |
| 28.62 | 61 |
| 30.65 | 37 |
| 34.10 | 64 |
| 46.28 | 29 |
| 48.27 | 31 |
| 55.66 | 25 |

Structure:
abc: 3.893 17.119 18.224
angles: 90.00 90.00 90.00
Space group Cmcm (No. 63)
Inequivalent atoms, fractional coordinates:
Ca 0.000 0.032 0.250 [4 per cell]
Ac 0.000 0.000 0.000 [4 per cell]
Ac 0.000 0.278 0.750 [4 per cell]
Ac 0.000 0.365 0.137 [8 per cell]
Pr 0.000 0.318 0.562 [8 per cell]

Record 11
Computed PXRD pattern
Compound: Ca2Ac2Pr5
Radiation: copper Kα
Structure: a structure optimized by DFT (GGA-PBE)
Neutral-atom scattering factors, no anomalous dispersion.

Peak list (10 most intense, 10° ≤ 2θ ≤ 80°, sorted by position)
| 2θ/deg | intensity |
| --- | --- |
| 10.48 | 49 |
| 24.21 | 22 |
| 26.71 | 42 |
| 27.38 | 47 |
| 28.26 | 43 |
| 29.17 | 34 |
| 31.44 | 36 |
| 31.93 | 26 |
| 33.38 | 100 |
| 50.27 | 20 |

Structure:
abc: 23.413 3.705 8.487
angles: 90.00 96.05 90.00
Space group C2/m (No. 12)
Inequivalent atoms, fractional coordinates:
Ca 0.187 0.000 0.128 [4 per cell]
Ac 0.055 0.500 0.345 [4 per cell]
Pr 0.000 0.000 0.000 [2 per cell]
Pr 0.094 0.000 0.739 [4 per cell]
Pr 0.192 0.500 0.550 [4 per cell]

Record 12
Computed PXRD pattern
Compound: Ca2Ac6Pr3
Radiation: copper Kα
Structure: a structure optimized by DFT (GGA-PBE)
Neutral-atom scattering factors, no anomalous dispersion.

Peak list (10 most intense, 10° ≤ 2θ ≤ 80°, sorted by position)
| 2θ/deg | intensity |
| --- | --- |
| 18.63 | 5 |
| 27.18 | 9 |
| 28.89 | 100 |
| 41.32 | 18 |
| 51.15 | 31 |
| 51.35 | 6 |
| 55.14 | 7 |
| 59.76 | 7 |
| 67.74 | 9 |
| 67.89 | 6 |

Structure:
abc: 6.1900 6.1900 41.4965
angles: 90.00 90.00 120.00
Space group R-3m (No. 166, hexagonal axes)
Inequivalent atoms, fractional coordinates:
Ca 0.0000 0.0000 0.0420 [6 per cell]
Ac 0.0000 0.0000 0.1301 [6 per cell]
Ac 0.0000 0.0000 0.3125 [6 per cell]
Ac 0.0000 0.0000 0.4093 [6 per cell]
Pr 0.0000 0.0000 0.2198 [6 per cell]
Pr 0.0000 0.0000 0.5000 [3 per cell]